This entry pairs a crystal structure of Cs6KBr8 with its simulated powder XRD pattern. Radiation: Cu Kα X-rays. Structure: a DFT-relaxed cell (PBE, Alexandria).

The 10 most intense peaks (2θ = 5–70°), in order of rising 2θ:
two_theta	I/Imax
16.56	38
24.21	32
28.21	63
28.89	100
29.47	94
37.03	30
38.03	32
41.73	30
51.54	25
53.78	23

Structural model:
Unit cell a=10.707 b=10.707 c=7.354 alpha=90.00 beta=90.00 gamma=120.00
Sites, in units of the cell vectors:
Cs  0.000  0.371  0.220
Cs  0.000  0.629  0.780
Cs  0.371  0.000  0.220
Cs  0.371  0.371  0.780
Cs  0.629  0.000  0.780
Cs  0.629  0.629  0.220
K  0.000  0.000  0.500
Br  0.000  0.283  0.709
Br  0.000  0.717  0.291
Br  0.283  0.000  0.709
Br  0.283  0.283  0.291
Br  0.333  0.667  0.000
Br  0.667  0.333  0.000
Br  0.717  0.000  0.291
Br  0.717  0.717  0.709



This entry pairs a crystal structure of CsKPtBr6 with its simulated powder XRD pattern. Radiation: Cu Kα X-rays. Structure: a DFT-relaxed cell (PBE, Alexandria).

The 10 most intense peaks (2θ = 5–70°), in order of rising 2θ:
two_theta	I/Imax
12.16	25
12.97	69
17.81	100
25.70	47
28.89	17
33.52	63
36.93	33
37.03	16
39.60	22
51.72	21

Structural model:
Unit cell a=7.890 b=7.890 c=7.277 alpha=90.04 beta=90.04 gamma=120.15
Sites, in units of the cell vectors:
Cs  0.000  0.000  0.000
K  0.666  0.334  0.500
Pt  0.333  0.667  0.500
Br  0.072  0.408  0.300
Br  0.074  0.664  0.702
Br  0.336  0.926  0.298
Br  0.337  0.411  0.702
Br  0.589  0.663  0.298
Br  0.592  0.928  0.700



This entry pairs a crystal structure of CsKRb2Br6 with its simulated powder XRD pattern. Radiation: Cu Kα X-rays. Structure: a DFT-relaxed cell (PBE, Alexandria).

The 10 most intense peaks (2θ = 5–70°), in order of rising 2θ:
two_theta	I/Imax
13.68	21
19.39	23
23.81	68
27.56	100
39.37	74
46.53	31
48.73	26
56.90	12
62.55	12
64.37	33

Structural model:
Unit cell a=9.154 b=9.154 c=9.154 alpha=60.00 beta=60.00 gamma=60.00
Sites, in units of the cell vectors:
Cs  0.000  0.000  0.000
K  0.500  0.500  0.500
Rb  0.250  0.250  0.250
Rb  0.750  0.750  0.750
Br  0.260  0.260  0.740
Br  0.260  0.740  0.260
Br  0.260  0.740  0.740
Br  0.740  0.260  0.260
Br  0.740  0.260  0.740
Br  0.740  0.740  0.260



This entry pairs a crystal structure of CsKSeBr2 with its simulated powder XRD pattern. Radiation: Cu Kα X-rays. Structure: a DFT-relaxed cell (PBE, Alexandria).

The 10 most intense peaks (2θ = 5–70°), in order of rising 2θ:
two_theta	I/Imax
20.30	12
24.80	100
28.43	55
29.28	26
40.64	20
41.27	39
48.20	32
49.29	15
50.87	21
65.73	13

Structural model:
Unit cell a=6.279 b=6.279 c=6.101 alpha=90.00 beta=90.00 gamma=90.00
Sites, in units of the cell vectors:
Cs  0.000  0.000  0.000
K  0.500  0.500  0.500
Se  0.500  0.500  0.000
Br  0.000  0.500  0.500
Br  0.500  0.000  0.500



This entry pairs a crystal structure of CsK2Sn2Br7 with its simulated powder XRD pattern. Radiation: Cu Kα X-rays. Structure: a DFT-relaxed cell (PBE, Alexandria).

The 10 most intense peaks (2θ = 5–70°), in order of rising 2θ:
two_theta	I/Imax
17.09	50
24.47	68
27.45	94
27.61	59
29.86	100
34.62	48
39.33	34
41.01	63
41.12	40
50.15	34

Structural model:
Unit cell a=13.657 b=13.657 c=13.657 alpha=154.69 beta=37.74 gamma=152.47
Sites, in units of the cell vectors:
Cs  0.000  0.000  0.000
K  0.268  0.539  0.728
K  0.811  0.539  0.272
Sn  0.437  0.048  0.389
Sn  0.660  0.048  0.611
Br  0.027  0.628  0.399
Br  0.229  0.628  0.601
Br  0.308  0.037  0.271
Br  0.468  0.583  0.885
Br  0.625  0.125  0.500
Br  0.698  0.583  0.115
Br  0.766  0.037  0.729



This entry pairs a crystal structure of CsK2TaBr8 with its simulated powder XRD pattern. Radiation: Cu Kα X-rays. Structure: a DFT-relaxed cell (PBE, Alexandria).

The 10 most intense peaks (2θ = 5–70°), in order of rising 2θ:
two_theta	I/Imax
8.68	23
10.80	100
11.91	27
17.01	23
17.86	23
24.83	24
27.54	26
28.52	23
32.47	28
35.52	26

Structural model:
Unit cell a=6.333 b=8.517 c=10.692 alpha=104.91 beta=98.36 gamma=93.20
Sites, in units of the cell vectors:
Cs  0.000  0.000  0.000
K  0.413  0.379  0.789
K  0.587  0.621  0.211
Ta  0.000  0.000  0.500
Br  0.127  0.797  0.309
Br  0.224  0.234  0.460
Br  0.305  0.953  0.660
Br  0.479  0.744  0.957
Br  0.521  0.256  0.043
Br  0.695  0.047  0.340
Br  0.776  0.766  0.540
Br  0.873  0.203  0.691



This entry pairs a crystal structure of Cs2KTbBr6 with its simulated powder XRD pattern. Radiation: Cu Kα X-rays. Structure: a DFT-relaxed cell (PBE, Alexandria).

The 10 most intense peaks (2θ = 5–70°), in order of rising 2θ:
two_theta	I/Imax
12.74	45
13.03	42
21.13	78
24.99	53
25.64	48
26.24	42
30.00	100
30.13	61
37.41	46
43.03	52

Structural model:
Unit cell a=8.286 b=8.571 c=14.465 alpha=90.00 beta=124.89 gamma=90.00
Sites, in units of the cell vectors:
Cs  0.233  0.056  0.249
Cs  0.233  0.444  0.749
Cs  0.767  0.556  0.251
Cs  0.767  0.944  0.751
K  0.000  0.000  0.500
K  0.000  0.500  0.000
Tb  0.500  0.000  0.000
Tb  0.500  0.500  0.500
Br  0.188  0.189  0.962
Br  0.188  0.311  0.462
Br  0.272  0.729  0.958
Br  0.272  0.771  0.458
Br  0.346  0.019  0.769
Br  0.346  0.481  0.269
Br  0.654  0.519  0.731
Br  0.654  0.981  0.231
Br  0.728  0.229  0.542
Br  0.728  0.271  0.042
Br  0.812  0.689  0.538
Br  0.812  0.811  0.038



This entry pairs a crystal structure of CsKThBr6 with its simulated powder XRD pattern. Radiation: Cu Kα X-rays. Structure: a DFT-relaxed cell (PBE, Alexandria).

The 10 most intense peaks (2θ = 5–70°), in order of rising 2θ:
two_theta	I/Imax
11.94	23
13.72	93
17.21	95
24.64	84
27.65	23
32.43	100
35.27	37
37.65	48
37.87	22
50.52	24

Structural model:
Unit cell a=8.277 b=8.277 c=14.826 alpha=90.00 beta=90.00 gamma=120.00
Sites, in units of the cell vectors:
Cs  0.000  0.000  0.000
Cs  0.000  0.000  0.500
K  0.333  0.667  0.250
K  0.667  0.333  0.750
Th  0.333  0.667  0.750
Th  0.667  0.333  0.250
Br  0.044  0.392  0.639
Br  0.044  0.652  0.861
Br  0.348  0.392  0.861
Br  0.348  0.956  0.639
Br  0.392  0.044  0.139
Br  0.392  0.348  0.361
Br  0.608  0.652  0.639
Br  0.608  0.956  0.861
Br  0.652  0.044  0.361
Br  0.652  0.608  0.139
Br  0.956  0.348  0.139
Br  0.956  0.608  0.361



This entry pairs a crystal structure of CsKTl2Br8 with its simulated powder XRD pattern. Radiation: Cu Kα X-rays. Structure: a DFT-relaxed cell (PBE, Alexandria).

The 10 most intense peaks (2θ = 5–70°), in order of rising 2θ:
two_theta	I/Imax
12.72	37
19.10	28
19.39	100
26.17	34
26.80	29
31.12	57
33.47	24
34.80	22
38.97	36
49.05	25

Structural model:
Unit cell a=10.322 b=10.322 c=10.322 alpha=136.96 beta=136.96 gamma=62.51
Sites, in units of the cell vectors:
Cs  0.000  0.000  0.000
K  0.250  0.750  0.500
Tl  0.500  0.500  0.000
Tl  0.750  0.250  0.500
Br  0.272  0.660  0.104
Br  0.340  0.443  0.612
Br  0.424  0.010  0.093
Br  0.557  0.168  0.896
Br  0.669  0.576  0.586
Br  0.832  0.728  0.388
Br  0.917  0.331  0.907
Br  0.990  0.083  0.414



This entry pairs a crystal structure of CsKV2Br8 with its simulated powder XRD pattern. Radiation: Cu Kα X-rays. Structure: a DFT-relaxed cell (PBE, Alexandria).

The 10 most intense peaks (2θ = 5–70°), in order of rising 2θ:
two_theta	I/Imax
18.00	21
25.56	30
25.81	100
26.74	11
29.82	64
42.51	32
42.83	33
50.26	17
50.55	19
50.69	11

Structural model:
Unit cell a=11.275 b=11.275 c=11.275 alpha=37.85 beta=37.85 gamma=37.85
Sites, in units of the cell vectors:
Cs  0.000  0.000  0.000
K  0.500  0.500  0.500
V  0.255  0.255  0.255
V  0.745  0.745  0.745
Br  0.055  0.814  0.440
Br  0.186  0.560  0.945
Br  0.330  0.330  0.330
Br  0.440  0.055  0.814
Br  0.560  0.945  0.186
Br  0.670  0.670  0.670
Br  0.814  0.440  0.055
Br  0.945  0.186  0.560



This entry pairs a crystal structure of CsKVBr6 with its simulated powder XRD pattern. Radiation: Cu Kα X-rays. Structure: a DFT-relaxed cell (PBE, Alexandria).

The 10 most intense peaks (2θ = 5–70°), in order of rising 2θ:
two_theta	I/Imax
12.95	39
17.86	87
25.72	100
26.08	20
27.93	22
33.63	74
36.96	74
39.56	25
43.05	19
51.90	24

Structural model:
Unit cell a=7.894 b=7.894 c=7.226 alpha=90.01 beta=90.01 gamma=120.07
Sites, in units of the cell vectors:
Cs  0.000  0.000  0.000
K  0.666  0.334  0.500
V  0.333  0.667  0.500
Br  0.073  0.411  0.298
Br  0.074  0.662  0.702
Br  0.338  0.412  0.702
Br  0.338  0.926  0.298
Br  0.588  0.662  0.298
Br  0.589  0.927  0.702



This entry pairs a crystal structure of CsLa3Br8 with its simulated powder XRD pattern. Radiation: Cu Kα X-rays. Structure: a DFT-relaxed cell (PBE, Alexandria).

The 10 most intense peaks (2θ = 5–70°), in order of rising 2θ:
two_theta	I/Imax
9.71	68
12.69	31
23.48	19
27.97	100
33.82	24
36.21	36
43.44	33
44.26	17
52.46	17
68.39	11

Structural model:
Unit cell a=10.304 b=10.304 c=10.304 alpha=47.70 beta=47.70 gamma=47.70
Sites, in units of the cell vectors:
Cs  0.000  0.000  0.000
La  0.000  0.000  0.500
La  0.000  0.500  0.000
La  0.500  0.000  0.000
Br  0.235  0.730  0.730
Br  0.238  0.238  0.238
Br  0.270  0.270  0.765
Br  0.270  0.765  0.270
Br  0.730  0.235  0.730
Br  0.730  0.730  0.235
Br  0.762  0.762  0.762
Br  0.765  0.270  0.270



Please write out number 8 again, unchanged.
This entry pairs a crystal structure of CsKThBr6 with its simulated powder XRD pattern. Radiation: Cu Kα X-rays. Structure: a DFT-relaxed cell (PBE, Alexandria).

The 10 most intense peaks (2θ = 5–70°), in order of rising 2θ:
two_theta	I/Imax
11.94	23
13.72	93
17.21	95
24.64	84
27.65	23
32.43	100
35.27	37
37.65	48
37.87	22
50.52	24

Structural model:
Unit cell a=8.277 b=8.277 c=14.826 alpha=90.00 beta=90.00 gamma=120.00
Sites, in units of the cell vectors:
Cs  0.000  0.000  0.000
Cs  0.000  0.000  0.500
K  0.333  0.667  0.250
K  0.667  0.333  0.750
Th  0.333  0.667  0.750
Th  0.667  0.333  0.250
Br  0.044  0.392  0.639
Br  0.044  0.652  0.861
Br  0.348  0.392  0.861
Br  0.348  0.956  0.639
Br  0.392  0.044  0.139
Br  0.392  0.348  0.361
Br  0.608  0.652  0.639
Br  0.608  0.956  0.861
Br  0.652  0.044  0.361
Br  0.652  0.608  0.139
Br  0.956  0.348  0.139
Br  0.956  0.608  0.361



Question: Which formula does entry 7 have?
Answer: Cs2KTbBr6